# 1
CrAgO2: computed powder diffraction line list (Cu Kα, 1.54184 Å), based on a DFT-relaxed cell (GGA+U, the Materials Project).

Crystal structure
```
data_CrAgO2
_chemical_formula_sum 'Cr4 Ag4 O8'
_cell_length_a 12.499
_cell_length_b 3.014
_cell_length_c 5.241
_cell_angle_alpha 90.00
_cell_angle_beta 98.15
_cell_angle_gamma 90.00
_space_group_name_H-M_alt 'C 1 c 1'
_space_group_IT_number 9
_space_group_name_Hall 'C -2yc'
loop_
_atom_site_label
_atom_site_fract_x
_atom_site_fract_y
_atom_site_fract_z
Cr1 0.000 0.247 0.000
Ag1 0.258 0.250 0.419
O1 0.082 0.253 0.360
O2 0.413 0.248 0.138
```

Main lines, in order of rising 2θ (10° ≤ 2θ ≤ 90°):
Position (°2θ)  intensity
14.3  21
28.9  58
34.6  100
35.6  16
35.7  32
39.6  26
42.2  15
42.3  29
48.9  55
52.8  12
61.3  21
61.5  10



# 2
CrAgO2: computed powder diffraction line list (Cu Kα, 1.54184 Å), based on a DFT-relaxed cell (GGA+U, the Materials Project).

Crystal structure
```
data_CrAgO2
_chemical_formula_sum 'Cr3 Ag3 O6'
_cell_length_a 3.0622
_cell_length_b 3.0622
_cell_length_c 18.7390
_cell_angle_alpha 90.00
_cell_angle_beta 90.00
_cell_angle_gamma 120.00
_space_group_name_H-M_alt 'R -3 m'
_space_group_IT_number 166
_space_group_name_Hall '-R 3 2"'
loop_
_atom_site_label
_atom_site_fract_x
_atom_site_fract_y
_atom_site_fract_z
Cr1 0.0000 0.0000 0.0000
Ag1 0.0000 0.0000 0.5000
O1 0.0000 0.0000 0.3868
```

Main lines, in order of rising 2θ (10° ≤ 2θ ≤ 90°):
Position (°2θ)  intensity
14.2  14
28.6  46
34.1  26
35.2  100
39.0  46
52.1  38
60.5  46
68.2  21
71.9  11
74.3  7
83.8  8
89.7  10



# 3
EuAgW2O8: computed powder diffraction line list (Cu Kα, 1.54184 Å), based on a DFT-relaxed cell (GGA+U, the Materials Project).

Crystal structure
```
data_EuAgW2O8
_chemical_formula_sum 'Eu4 Ag4 W8 O32'
_cell_length_a 10.290
_cell_length_b 11.055
_cell_length_c 7.468
_cell_angle_alpha 90.00
_cell_angle_beta 127.47
_cell_angle_gamma 90.00
_space_group_name_H-M_alt 'C 1 2/m 1'
_space_group_IT_number 12
_space_group_name_Hall '-C 2y'
loop_
_atom_site_label
_atom_site_fract_x
_atom_site_fract_y
_atom_site_fract_z
Eu1 0.000 0.199 0.000
Ag1 0.192 0.000 0.514
W1 0.000 0.336 0.500
W2 0.212 0.500 0.967
O1 0.022 0.500 0.343
O2 0.051 0.235 0.360
O3 0.059 0.000 0.863
O4 0.174 0.374 0.085
O5 0.223 0.377 0.754
```

Main lines, in order of rising 2θ (10° ≤ 2θ ≤ 90°):
Position (°2θ)  intensity
14.4  23
27.0  59
27.1  100
27.7  52
29.1  91
30.2  63
33.8  36
35.0  24
40.8  27
45.1  25
49.3  29
54.4  28



# 4
K2FeAgF6: computed powder diffraction line list (Cu Kα, 1.54184 Å), based on a DFT-relaxed cell (GGA+U, the Materials Project).

Crystal structure
```
data_K2FeAgF6
_chemical_formula_sum 'K8 Fe4 Ag4 F24'
_cell_length_a 8.732
_cell_length_b 8.732
_cell_length_c 8.732
_cell_angle_alpha 90.00
_cell_angle_beta 90.00
_cell_angle_gamma 90.00
_space_group_name_H-M_alt 'F m -3 m'
_space_group_IT_number 225
_space_group_name_Hall '-F 4 2 3'
loop_
_atom_site_label
_atom_site_fract_x
_atom_site_fract_y
_atom_site_fract_z
K1 0.250 0.250 0.250
Fe1 0.000 0.000 0.000
Ag1 0.000 0.000 0.500
F1 0.000 0.000 0.225
```

Main lines, in order of rising 2θ (10° ≤ 2θ ≤ 90°):
Position (°2θ)  intensity
20.3  44
28.9  100
34.1  9
41.4  50
45.3  8
46.5  17
51.3  35
59.9  28
64.0  7
67.9  17
75.4  8
82.7  19